# 1
Structure and computed PXRD pattern of Ca2Pr2GaRh4 (a crystal structure in Alexandria, relaxed with GGA-PBE; Cu Kα).

Structural model:
```
data_Ca2Pr2GaRh4
_cell_length_a 6.668
_cell_length_b 6.668
_cell_length_c 9.072
_cell_angle_alpha 90.00
_cell_angle_beta 90.00
_cell_angle_gamma 90.00
_symmetry_space_group_name_H-M 'I 4/m m m'
_symmetry_Int_Tables_number 139
_symmetry_space_group_name_Hall '-I 4 2'
loop_
_atom_site_label
_atom_site_type_symbol
_atom_site_fract_x
_atom_site_fract_y
_atom_site_fract_z
Ca1 Ca 0.000 0.500 0.250
Pr1 Pr 0.000 0.000 0.187
Ga1 Ga 0.000 0.000 0.500
Rh1 Rh 0.241 0.241 0.000
```

Top 6 peaks for 10 to 80 degrees two-theta, sorted by position:
| two_theta | d/Å | Rel. int. |
| --- | --- | --- |
| 18.82 | 4.715 | 38 |
| 32.51 | 2.754 | 26 |
| 33.35 | 2.686 | 100 |
| 38.18 | 2.357 | 64 |
| 42.58 | 2.123 | 33 |
| 65.95 | 1.416 | 26 |

=====

# 2
Structure and computed PXRD pattern of CaPrGa2Rh2 (a crystal structure in Alexandria, relaxed with GGA-PBE; Cu Kα).

Structural model:
```
data_CaPrGa2Rh2
_cell_length_a 4.3236
_cell_length_b 4.3236
_cell_length_c 7.9769
_cell_angle_alpha 90.00
_cell_angle_beta 90.00
_cell_angle_gamma 120.00
_symmetry_space_group_name_H-M 'P -3 m 1'
_symmetry_Int_Tables_number 164
_symmetry_space_group_name_Hall '-P 3 2"'
loop_
_atom_site_label
_atom_site_type_symbol
_atom_site_fract_x
_atom_site_fract_y
_atom_site_fract_z
Ca1 Ca 0.0000 0.0000 0.0000
Pr1 Pr 0.0000 0.0000 0.5000
Ga1 Ga 0.3333 0.6667 0.7572
Rh1 Rh 0.3333 0.6667 0.2613
```

Top 6 peaks for 10 to 80 degrees two-theta, sorted by position:
| two_theta | d/Å | Rel. int. |
| --- | --- | --- |
| 11.09 | 7.977 | 18 |
| 32.81 | 2.730 | 100 |
| 41.78 | 2.162 | 56 |
| 54.12 | 1.695 | 23 |
| 63.46 | 1.466 | 31 |
| 70.62 | 1.334 | 21 |

=====

# 3
Structure and computed PXRD pattern of CaPr2Zn2Ga2 (a crystal structure in Alexandria, relaxed with GGA-PBE; Cu Kα).

Structural model:
```
data_CaPr2Zn2Ga2
_cell_length_a 4.5350
_cell_length_b 4.5350
_cell_length_c 29.2154
_cell_angle_alpha 90.00
_cell_angle_beta 90.00
_cell_angle_gamma 120.00
_symmetry_space_group_name_H-M 'R -3 m'
_symmetry_Int_Tables_number 166
_symmetry_space_group_name_Hall '-R 3 2"'
loop_
_atom_site_label
_atom_site_type_symbol
_atom_site_fract_x
_atom_site_fract_y
_atom_site_fract_z
Ca1 Ca 0.0000 0.0000 0.0000
Pr1 Pr 0.0000 0.0000 0.1257
Zn1 Zn 0.0000 0.0000 0.3999
Ga1 Ga 0.0000 0.0000 0.2618
```

Top 6 peaks for 10 to 80 degrees two-theta, sorted by position:
| two_theta | d/Å | Rel. int. |
| --- | --- | --- |
| 25.76 | 3.459 | 38 |
| 31.27 | 2.860 | 66 |
| 33.51 | 2.674 | 100 |
| 39.75 | 2.268 | 97 |
| 52.94 | 1.730 | 27 |
| 62.90 | 1.478 | 40 |

=====

# 4
Structure and computed PXRD pattern of Ca3Ga4Pt2 (a crystal structure in Alexandria, relaxed with GGA-PBE; Cu Kα).

Structural model:
```
data_Ca3Ga4Pt2
_cell_length_a 10.779
_cell_length_b 4.344
_cell_length_c 8.933
_cell_angle_alpha 90.00
_cell_angle_beta 111.80
_cell_angle_gamma 90.00
_symmetry_space_group_name_H-M 'C 1 2/m 1'
_symmetry_Int_Tables_number 12
loop_
_symmetry_equiv_pos_as_xyz
'x,y,z'
'-x,-y,-z'
'-x,y,-z'
'x,-y,z'
'x+1/2,y+1/2,z'
'-x+1/2,-y+1/2,-z'
'-x+1/2,y+1/2,-z'
'x+1/2,-y+1/2,z'
loop_
_atom_site_label
_atom_site_type_symbol
_atom_site_fract_x
_atom_site_fract_y
_atom_site_fract_z
Ca1 Ca 0.000 0.000 0.000
Ca2 Ca 0.130 0.500 0.686
Ga1 Ga 0.119 0.000 0.427
Ga2 Ga 0.223 0.500 0.061
Pt1 Pt 0.153 0.500 0.301
```

Top 6 peaks for 10 to 80 degrees two-theta, sorted by position:
| two_theta | d/Å | Rel. int. |
| --- | --- | --- |
| 16.96 | 5.229 | 67 |
| 23.29 | 3.819 | 41 |
| 23.94 | 3.717 | 56 |
| 33.88 | 2.646 | 62 |
| 39.61 | 2.275 | 100 |
| 41.58 | 2.172 | 54 |

=====

# 5
Structure and computed PXRD pattern of CaGa2PtRh (a crystal structure in Alexandria, relaxed with GGA-PBE; Cu Kα).

Structural model:
```
data_CaGa2PtRh
_cell_length_a 4.213
_cell_length_b 4.213
_cell_length_c 10.543
_cell_angle_alpha 90.00
_cell_angle_beta 90.00
_cell_angle_gamma 90.00
_symmetry_space_group_name_H-M 'I -4 m 2'
_symmetry_Int_Tables_number 119
_symmetry_space_group_name_Hall 'I -4 -2'
loop_
_atom_site_label
_atom_site_type_symbol
_atom_site_fract_x
_atom_site_fract_y
_atom_site_fract_z
Ca1 Ca 0.000 0.000 0.000
Ga1 Ga 0.000 0.000 0.378
Pt1 Pt 0.000 0.500 0.250
Rh1 Rh 0.000 0.500 0.750
```

Top 6 peaks for 10 to 80 degrees two-theta, sorted by position:
| two_theta | d/Å | Rel. int. |
| --- | --- | --- |
| 16.82 | 5.272 | 76 |
| 22.73 | 3.912 | 26 |
| 33.20 | 2.699 | 26 |
| 34.58 | 2.594 | 100 |
| 42.93 | 2.107 | 54 |
| 45.97 | 1.974 | 62 |

=====

# 6
Structure and computed PXRD pattern of CaScGaPt2 (a crystal structure in Alexandria, relaxed with GGA-PBE; Cu Kα).

Structural model:
```
data_CaScGaPt2
_cell_length_a 4.149
_cell_length_b 4.149
_cell_length_c 11.995
_cell_angle_alpha 90.00
_cell_angle_beta 90.00
_cell_angle_gamma 90.00
_symmetry_space_group_name_H-M 'I -4 m 2'
_symmetry_Int_Tables_number 119
_symmetry_space_group_name_Hall 'I -4 -2'
loop_
_atom_site_label
_atom_site_type_symbol
_atom_site_fract_x
_atom_site_fract_y
_atom_site_fract_z
Ca1 Ca 0.000 0.000 0.000
Sc1 Sc 0.000 0.500 0.750
Ga1 Ga 0.000 0.500 0.250
Pt1 Pt 0.000 0.000 0.389
```

Top 6 peaks for 10 to 80 degrees two-theta, sorted by position:
| two_theta | d/Å | Rel. int. |
| --- | --- | --- |
| 22.68 | 3.921 | 100 |
| 30.47 | 2.934 | 36 |
| 31.06 | 2.879 | 40 |
| 43.13 | 2.097 | 57 |
| 43.60 | 2.076 | 90 |
| 63.38 | 1.468 | 45 |

=====

# 7
Structure and computed PXRD pattern of CaSmGaPt (a crystal structure in Alexandria, relaxed with GGA-PBE; Cu Kα).

Structural model:
```
data_CaSmGaPt
_cell_length_a 7.174
_cell_length_b 7.174
_cell_length_c 7.174
_cell_angle_alpha 90.00
_cell_angle_beta 90.00
_cell_angle_gamma 90.00
_symmetry_space_group_name_H-M 'F -4 3 m'
_symmetry_Int_Tables_number 216
_symmetry_space_group_name_Hall 'F -4 2 3'
loop_
_atom_site_label
_atom_site_type_symbol
_atom_site_fract_x
_atom_site_fract_y
_atom_site_fract_z
Ca1 Ca 0.000 0.000 0.000
Sm1 Sm 0.000 0.000 0.500
Ga1 Ga 0.250 0.250 0.250
Pt1 Pt 0.250 0.250 0.750
```

Top 6 peaks for 10 to 80 degrees two-theta, sorted by position:
| two_theta | d/Å | Rel. int. |
| --- | --- | --- |
| 21.45 | 4.142 | 28 |
| 35.39 | 2.536 | 100 |
| 41.76 | 2.163 | 16 |
| 50.91 | 1.794 | 18 |
| 63.53 | 1.464 | 36 |
| 74.87 | 1.268 | 11 |

=====

# 8
Structure and computed PXRD pattern of CaZnGa2Pt (a crystal structure in Alexandria, relaxed with GGA-PBE; Cu Kα).

Structural model:
```
data_CaZnGa2Pt
_cell_length_a 4.210
_cell_length_b 4.223
_cell_length_c 11.050
_cell_angle_alpha 90.00
_cell_angle_beta 90.00
_cell_angle_gamma 90.00
_symmetry_space_group_name_H-M 'I m m 2'
_symmetry_Int_Tables_number 44
loop_
_symmetry_equiv_pos_as_xyz
'x,y,z'
'-x,-y,z'
'-x,y,z'
'x,-y,z'
'x+1/2,y+1/2,z+1/2'
'-x+1/2,-y+1/2,z+1/2'
'-x+1/2,y+1/2,z+1/2'
'x+1/2,-y+1/2,z+1/2'
loop_
_atom_site_label
_atom_site_type_symbol
_atom_site_fract_x
_atom_site_fract_y
_atom_site_fract_z
Ca1 Ca 0.000 0.000 0.000
Zn1 Zn 0.000 0.500 0.753
Ga1 Ga 0.000 0.000 0.613
Ga2 Ga 0.000 0.500 0.259
Pt1 Pt 0.000 0.000 0.390
```

Top 6 peaks for 10 to 80 degrees two-theta, sorted by position:
| two_theta | d/Å | Rel. int. |
| --- | --- | --- |
| 16.04 | 5.525 | 33 |
| 22.57 | 3.939 | 100 |
| 32.27 | 2.774 | 55 |
| 34.17 | 2.624 | 75 |
| 44.72 | 2.026 | 69 |
| 46.39 | 1.957 | 42 |

=====

# 9
Structure and computed PXRD pattern of Ca2Zn3Ga4Pt (a crystal structure in Alexandria, relaxed with GGA-PBE; Cu Kα).

Structural model:
```
data_Ca2Zn3Ga4Pt
_cell_length_a 4.253
_cell_length_b 4.253
_cell_length_c 10.748
_cell_angle_alpha 90.00
_cell_angle_beta 90.00
_cell_angle_gamma 90.00
_symmetry_space_group_name_H-M 'P -4 m 2'
_symmetry_Int_Tables_number 115
loop_
_symmetry_equiv_pos_as_xyz
'x,y,z'
'y,-x,-z'
'-x,-y,z'
'-y,x,-z'
'-x,y,z'
'-y,-x,-z'
'x,-y,z'
'y,x,-z'
loop_
_atom_site_label
_atom_site_type_symbol
_atom_site_fract_x
_atom_site_fract_y
_atom_site_fract_z
Ca1 Ca 0.000 0.500 0.244
Zn1 Zn 0.000 0.000 0.000
Zn2 Zn 0.000 0.500 0.639
Ga1 Ga 0.000 0.000 0.500
Ga2 Ga 0.000 0.500 0.869
Ga3 Ga 0.500 0.500 0.500
Pt1 Pt 0.500 0.500 0.000
```

Top 6 peaks for 10 to 80 degrees two-theta, sorted by position:
| two_theta | d/Å | Rel. int. |
| --- | --- | --- |
| 16.50 | 5.374 | 43 |
| 22.48 | 3.955 | 32 |
| 32.68 | 2.740 | 30 |
| 34.17 | 2.624 | 100 |
| 42.51 | 2.127 | 59 |
| 45.25 | 2.004 | 60 |

=====

# 10
Structure and computed PXRD pattern of Ca2Zn6GaPt (a crystal structure in Alexandria, relaxed with GGA-PBE; Cu Kα).

Structural model:
```
data_Ca2Zn6GaPt
_cell_length_a 6.3523
_cell_length_b 6.3523
_cell_length_c 34.8242
_cell_angle_alpha 90.00
_cell_angle_beta 90.00
_cell_angle_gamma 120.00
_symmetry_space_group_name_H-M 'R -3 m'
_symmetry_Int_Tables_number 166
_symmetry_space_group_name_Hall '-R 3 2"'
loop_
_atom_site_label
_atom_site_type_symbol
_atom_site_fract_x
_atom_site_fract_y
_atom_site_fract_z
Ca1 Ca 0.0000 0.0000 0.1352
Ca2 Ca 0.0000 0.0000 0.3069
Zn1 Zn 0.0445 0.5223 0.7214
Zn2 Zn 0.0669 0.5335 0.8784
Ga1 Ga 0.0000 0.0000 0.4235
Pt1 Pt 0.0000 0.0000 0.0000
Pt2 Pt 0.0000 0.0000 0.5000
```

Top 6 peaks for 10 to 80 degrees two-theta, sorted by position:
| two_theta | d/Å | Rel. int. |
| --- | --- | --- |
| 16.90 | 5.246 | 100 |
| 19.08 | 4.651 | 53 |
| 28.09 | 3.176 | 40 |
| 37.36 | 2.407 | 56 |
| 42.18 | 2.142 | 35 |
| 43.85 | 2.065 | 43 |

=====

# 11
Structure and computed PXRD pattern of CaZnGaPt (a crystal structure in Alexandria, relaxed with GGA-PBE; Cu Kα).

Structural model:
```
data_CaZnGaPt
_cell_length_a 6.568
_cell_length_b 6.568
_cell_length_c 6.568
_cell_angle_alpha 90.00
_cell_angle_beta 90.00
_cell_angle_gamma 90.00
_symmetry_space_group_name_H-M 'F -4 3 m'
_symmetry_Int_Tables_number 216
_symmetry_space_group_name_Hall 'F -4 2 3'
loop_
_atom_site_label
_atom_site_type_symbol
_atom_site_fract_x
_atom_site_fract_y
_atom_site_fract_z
Ca1 Ca 0.000 0.000 0.000
Zn1 Zn 0.250 0.250 0.250
Ga1 Ga 0.250 0.250 0.750
Pt1 Pt 0.000 0.000 0.500
```

Top 6 peaks for 10 to 80 degrees two-theta, sorted by position:
| two_theta | d/Å | Rel. int. |
| --- | --- | --- |
| 23.46 | 3.792 | 37 |
| 38.78 | 2.322 | 100 |
| 45.82 | 1.980 | 20 |
| 56.00 | 1.642 | 17 |
| 61.54 | 1.507 | 9 |
| 70.20 | 1.341 | 34 |

=====

# 12
Structure and computed PXRD pattern of CaZrGa2Pt2 (a crystal structure in Alexandria, relaxed with GGA-PBE; Cu Kα).

Structural model:
```
data_CaZrGa2Pt2
_cell_length_a 4.4361
_cell_length_b 4.4361
_cell_length_c 6.9799
_cell_angle_alpha 90.00
_cell_angle_beta 90.00
_cell_angle_gamma 120.00
_symmetry_space_group_name_H-M 'P -3 m 1'
_symmetry_Int_Tables_number 164
_symmetry_space_group_name_Hall '-P 3 2"'
loop_
_atom_site_label
_atom_site_type_symbol
_atom_site_fract_x
_atom_site_fract_y
_atom_site_fract_z
Ca1 Ca 0.0000 0.0000 0.0000
Zr1 Zr 0.0000 0.0000 0.5000
Ga1 Ga 0.3333 0.6667 0.2860
Pt1 Pt 0.3333 0.6667 0.7014
```

Top 6 peaks for 10 to 80 degrees two-theta, sorted by position:
| two_theta | d/Å | Rel. int. |
| --- | --- | --- |
| 12.68 | 6.980 | 49 |
| 26.48 | 3.366 | 51 |
| 34.73 | 2.583 | 100 |
| 40.68 | 2.218 | 98 |
| 48.64 | 1.872 | 26 |
| 54.53 | 1.683 | 27 |

=====

What is the formula in the fourth record? Ca3Ga4Pt2

=====

Number 10 is which compound? Ca2Zn6GaPt